[1]
# La6Pr2Sm5
Calculated PXRD pattern, CuKα. Input: a GGA-PBE-relaxed structure.

Structure:
a = 12.064 Å, b = 21.100 Å, c = 3.699 Å
α = 90.00°, β = 90.00°, γ = 90.00°
Atoms (fractional coordinates):
La 0.059 0.078 0.000
La 0.079 0.365 0.000
La 0.180 0.629 0.500
La 0.320 0.129 0.500
La 0.421 0.865 0.000
La 0.441 0.578 0.000
La 0.559 0.422 0.000
La 0.579 0.135 0.000
La 0.680 0.871 0.500
La 0.820 0.371 0.500
La 0.921 0.635 0.000
La 0.941 0.922 0.000
Pr 0.168 0.785 0.000
Pr 0.332 0.285 0.000
Pr 0.668 0.715 0.000
Pr 0.832 0.215 0.000
Sm 0.000 0.500 0.500
Sm 0.091 0.223 0.500
Sm 0.200 0.943 0.500
Sm 0.300 0.443 0.500
Sm 0.409 0.723 0.500
Sm 0.500 0.000 0.500
Sm 0.591 0.277 0.500
Sm 0.700 0.557 0.500
Sm 0.800 0.057 0.500
Sm 0.909 0.777 0.500

Main lines, sorted by position (10 to 90 degrees two-theta):
| 2θ/deg | intensity |
| --- | --- |
| 29.93 | 60 |
| 30.43 | 51 |
| 30.57 | 66 |
| 31.08 | 100 |
| 33.09 | 39 |
| 33.86 | 23 |
| 35.35 | 28 |
| 49.26 | 22 |
| 50.36 | 21 |
| 59.11 | 26 |

[2]
# Sr12Sn4N3
Calculated PXRD pattern, CuKα. Input: a GGA-PBE-relaxed structure.

Structure:
a = 5.285 Å, b = 5.285 Å, c = 21.184 Å
α = 90.00°, β = 90.00°, γ = 90.00°
Atoms (fractional coordinates):
Sr 0.000 0.000 0.122
Sr 0.000 0.000 0.364
Sr 0.000 0.000 0.636
Sr 0.000 0.000 0.878
Sr 0.000 0.500 0.000
Sr 0.000 0.500 0.245
Sr 0.000 0.500 0.500
Sr 0.000 0.500 0.755
Sr 0.500 0.000 0.000
Sr 0.500 0.000 0.245
Sr 0.500 0.000 0.500
Sr 0.500 0.000 0.755
Sn 0.500 0.500 0.125
Sn 0.500 0.500 0.384
Sn 0.500 0.500 0.616
Sn 0.500 0.500 0.875
N 0.000 0.000 0.000
N 0.000 0.000 0.251
N 0.000 0.000 0.749

Main lines, sorted by position (10 to 90 degrees two-theta):
| 2θ/deg | intensity |
| --- | --- |
| 23.79 | 3 |
| 29.25 | 100 |
| 33.90 | 56 |
| 48.70 | 39 |
| 57.83 | 42 |
| 60.66 | 13 |
| 71.39 | 5 |
| 78.90 | 17 |
| 81.27 | 5 |
| 81.42 | 12 |

[3]
# ZnTe
Calculated PXRD pattern, CuKα. Input: a GGA-PBE-relaxed structure.

Structure:
a = 7.419 Å, b = 7.419 Å, c = 7.133 Å
α = 114.71°, β = 114.71°, γ = 29.96°
Atoms (fractional coordinates):
Zn 0.000 0.000 0.000
Zn 0.562 0.562 0.426
Zn 0.857 0.857 0.378
Te 0.172 0.172 0.355
Te 0.369 0.369 0.087
Te 0.482 0.482 0.700

Main lines, sorted by position (10 to 90 degrees two-theta):
| 2θ/deg | intensity |
| --- | --- |
| 13.73 | 98 |
| 23.36 | 64 |
| 24.21 | 31 |
| 24.92 | 39 |
| 30.29 | 63 |
| 35.47 | 100 |
| 37.89 | 73 |
| 42.16 | 39 |
| 44.94 | 36 |
| 47.41 | 32 |

[4]
# K5H4Br
Calculated PXRD pattern, CuKα. Input: a GGA-PBE-relaxed structure.

Structure:
a = 17.167 Å, b = 17.167 Å, c = 17.167 Å
α = 13.90°, β = 13.90°, γ = 13.90°
Atoms (fractional coordinates):
K 0.000 0.000 0.000
K 0.209 0.209 0.209
K 0.396 0.396 0.396
K 0.604 0.604 0.604
K 0.791 0.791 0.791
H 0.093 0.093 0.093
H 0.302 0.302 0.302
H 0.698 0.698 0.698
H 0.907 0.907 0.907
Br 0.500 0.500 0.500

Main lines, sorted by position (10 to 90 degrees two-theta):
| 2θ/deg | intensity |
| --- | --- |
| 10.41 | 20 |
| 25.73 | 17 |
| 26.26 | 30 |
| 27.65 | 20 |
| 28.49 | 23 |
| 30.40 | 100 |
| 43.54 | 62 |
| 54.05 | 17 |
| 54.79 | 17 |
| 71.82 | 19 |